Computed X-ray diffraction stick pattern of Zr4Al3Mo for a wavelength of 1.5418 Å, from a PBE-relaxed structure.
Neutral-atom scattering factors, no anomalous dispersion.

Cell and atoms:
abc: 3.4982 3.4982 12.5776
angles: 90.00 90.00 90.00
Sites, in units of the cell vectors:
1 Zr 0.0000 0.0000 0.1221
2 Zr 0.0000 0.0000 0.3769
3 Zr 0.0000 0.0000 0.6231
4 Zr 0.0000 0.0000 0.8779
5 Al 0.5000 0.5000 0.2482
6 Al 0.5000 0.5000 0.5000
7 Al 0.5000 0.5000 0.7518
8 Mo 0.5000 0.5000 0.0000

Top 10 peaks for 2θ from 10° to 90°, sorted by position:
two_theta	intensity
25.46	19
28.38	7
36.32	59
38.50	100
52.30	20
66.79	38
71.04	16
82.50	10
88.36	9
89.68	9

=====

Computed X-ray diffraction stick pattern of Li15Mg6Pd for a wavelength of 1.5418 Å, from a PBE-relaxed structure.
Neutral-atom scattering factors, no anomalous dispersion.

Cell and atoms:
abc: 7.4575 7.5098 8.9599
angles: 72.58 68.19 84.99
Sites, in units of the cell vectors:
1 Li 0.0000 0.0000 0.0000
2 Li 0.0000 0.0000 0.5000
3 Li 0.0863 0.5272 0.1391
4 Li 0.1335 0.1949 0.6739
5 Li 0.1467 0.6425 0.4704
6 Li 0.1922 0.1322 0.1759
7 Li 0.2290 0.7613 0.7585
8 Li 0.4658 0.9231 0.3616
9 Li 0.5000 0.5000 0.5000
10 Li 0.5342 0.0769 0.6384
11 Li 0.7710 0.2387 0.2415
12 Li 0.8078 0.8678 0.8241
13 Li 0.8533 0.3575 0.5296
14 Li 0.8665 0.8051 0.3261
15 Li 0.9137 0.4728 0.8609
16 Mg 0.3145 0.3517 0.8494
17 Mg 0.3449 0.3300 0.3239
18 Mg 0.3605 0.8335 0.0338
19 Mg 0.6395 0.1665 0.9662
20 Mg 0.6551 0.6700 0.6761
21 Mg 0.6855 0.6483 0.1506
22 Pd 0.5000 0.5000 0.0000

Top 10 peaks for 2θ from 10° to 90°, sorted by position:
two_theta	intensity
11.11	100
12.36	58
12.79	92
13.56	53
14.04	20
16.32	23
17.58	38
35.59	36
37.55	30
37.69	25

=====

Computed X-ray diffraction stick pattern of Sm2Pd3 for a wavelength of 1.5418 Å, from a PBE-relaxed structure.
Neutral-atom scattering factors, no anomalous dispersion.

Cell and atoms:
abc: 8.4924 8.4924 8.4924
angles: 109.47 109.47 109.47
Sites, in units of the cell vectors:
1 Sm 0.0000 0.0717 0.5000
2 Sm 0.0000 0.5717 0.5000
3 Sm 0.0717 0.5000 0.0000
4 Sm 0.4283 0.4283 0.4283
5 Sm 0.5000 0.0000 0.0717
6 Sm 0.5000 0.0000 0.5717
7 Sm 0.5717 0.5000 0.0000
8 Sm 0.9283 0.9283 0.9283
9 Pd 0.0116 0.2500 0.2616
10 Pd 0.2384 0.4884 0.7500
11 Pd 0.2500 0.2616 0.0116
12 Pd 0.2500 0.9884 0.7384
13 Pd 0.2616 0.0116 0.2500
14 Pd 0.4884 0.7500 0.2384
15 Pd 0.5116 0.7616 0.7500
16 Pd 0.7384 0.2500 0.9884
17 Pd 0.7500 0.2384 0.4884
18 Pd 0.7500 0.5116 0.7616
19 Pd 0.7616 0.7500 0.5116
20 Pd 0.9884 0.7384 0.2500

Top 10 peaks for 2θ from 10° to 90°, sorted by position:
two_theta	intensity
22.21	19
25.70	31
28.79	27
34.21	100
36.66	88
43.28	60
47.26	22
52.81	44
70.58	35
76.49	31

=====

Computed X-ray diffraction stick pattern of NdCu5Ni for a wavelength of 1.5418 Å, from a PBE-relaxed structure.
Neutral-atom scattering factors, no anomalous dispersion.

Cell and atoms:
abc: 8.0502 5.0925 10.0215
angles: 90.00 90.00 90.00
Sites, in units of the cell vectors:
1 Nd 0.2406 0.2500 0.0657
2 Nd 0.2594 0.7500 0.5657
3 Nd 0.7406 0.2500 0.4343
4 Nd 0.7594 0.7500 0.9343
5 Cu 0.0636 0.0065 0.3075
6 Cu 0.0636 0.4935 0.3075
7 Cu 0.0654 0.7500 0.0918
8 Cu 0.1037 0.2500 0.5168
9 Cu 0.1826 0.2500 0.7594
10 Cu 0.3174 0.7500 0.2594
11 Cu 0.3963 0.7500 0.0168
12 Cu 0.4346 0.2500 0.5918
13 Cu 0.4364 0.5065 0.8075
14 Cu 0.4364 0.9935 0.8075
15 Cu 0.5636 0.0065 0.1925
16 Cu 0.5636 0.4935 0.1925
17 Cu 0.5654 0.7500 0.4082
18 Cu 0.6037 0.2500 0.9832
19 Cu 0.6826 0.2500 0.7406
20 Cu 0.8174 0.7500 0.2406
21 Cu 0.8963 0.7500 0.4832
22 Cu 0.9346 0.2500 0.9082
23 Cu 0.9364 0.5065 0.6925
24 Cu 0.9364 0.9935 0.6925
25 Ni 0.1519 0.7500 0.8523
26 Ni 0.3481 0.2500 0.3523
27 Ni 0.6519 0.7500 0.6477
28 Ni 0.8481 0.2500 0.1477

Top 10 peaks for 2θ from 10° to 90°, sorted by position:
two_theta	intensity
35.25	37
37.60	62
38.99	100
39.26	84
39.71	30
41.99	34
42.99	30
46.00	28
46.24	73
46.70	23

=====

Computed X-ray diffraction stick pattern of LiPr2ScSe5 for a wavelength of 1.5418 Å, from a PBE-relaxed structure.
Neutral-atom scattering factors, no anomalous dispersion.

Cell and atoms:
abc: 8.8717 8.8717 12.2072
angles: 90.00 90.00 153.19
Sites, in units of the cell vectors:
1 Li 0.0546 0.9454 0.5000
2 Li 0.9454 0.0546 0.0000
3 Pr 0.3715 0.6285 0.3404
4 Pr 0.3942 0.6058 0.7229
5 Pr 0.6058 0.3942 0.2229
6 Pr 0.6285 0.3715 0.8404
7 Sc 0.3013 0.6987 0.0484
8 Sc 0.6987 0.3013 0.5484
9 Se 0.0026 0.9974 0.8178
10 Se 0.1422 0.8578 0.0368
11 Se 0.1908 0.8092 0.3942
12 Se 0.2177 0.7823 0.6983
13 Se 0.4462 0.5538 0.1036
14 Se 0.5538 0.4462 0.6036
15 Se 0.7823 0.2177 0.1983
16 Se 0.8092 0.1908 0.8942
17 Se 0.8578 0.1422 0.5368
18 Se 0.9974 0.0026 0.3178

Top 10 peaks for 2θ from 10° to 90°, sorted by position:
two_theta	intensity
14.51	21
26.64	17
30.47	31
31.35	100
31.96	31
33.90	35
37.05	43
38.32	30
44.03	29
59.76	18

=====

Computed X-ray diffraction stick pattern of TbGa2Cu6 for a wavelength of 1.5418 Å, from a PBE-relaxed structure.
Neutral-atom scattering factors, no anomalous dispersion.

Cell and atoms:
abc: 7.1800 7.1800 7.1800
angles: 152.21 123.65 63.97
Sites, in units of the cell vectors:
1 Tb 0.0000 0.0000 0.0000
2 Ga 0.3609 0.8609 0.5000
3 Ga 0.6391 0.1391 0.5000
4 Cu 0.0046 0.3179 0.6867
5 Cu 0.3295 0.5000 0.8295
6 Cu 0.3688 0.6821 0.6867
7 Cu 0.6312 0.3179 0.3133
8 Cu 0.6705 0.5000 0.1705
9 Cu 0.9954 0.6821 0.3133

Top 10 peaks for 2θ from 10° to 90°, sorted by position:
two_theta	intensity
30.17	19
32.63	94
37.95	100
41.76	65
44.64	34
45.96	77
53.12	29
53.39	26
71.84	15
72.82	36

=====

Computed X-ray diffraction stick pattern of Nb12Ga5C2 for a wavelength of 1.5418 Å, from a PBE-relaxed structure.
Neutral-atom scattering factors, no anomalous dispersion.

Cell and atoms:
abc: 8.2418 8.2418 8.2418
angles: 132.16 127.14 74.04
Sites, in units of the cell vectors:
1 Nb 0.1583 0.4237 0.2654
2 Nb 0.1583 0.8929 0.7346
3 Nb 0.1752 0.0000 0.1752
4 Nb 0.2267 0.5000 0.7267
5 Nb 0.3688 0.1564 0.7876
6 Nb 0.3688 0.5812 0.2124
7 Nb 0.6312 0.4188 0.7876
8 Nb 0.6312 0.8436 0.2124
9 Nb 0.7733 0.5000 0.2733
10 Nb 0.8248 0.0000 0.8248
11 Nb 0.8417 0.1071 0.2654
12 Nb 0.8417 0.5763 0.7346
13 Ga 0.0284 0.7713 0.2571
14 Ga 0.4858 0.2287 0.2571
15 Ga 0.5000 0.0000 0.5000
16 Ga 0.5142 0.7713 0.7429
17 Ga 0.9716 0.2287 0.7429
18 C 0.0000 0.2704 0.2704
19 C 0.0000 0.7296 0.7296

Top 10 peaks for 2θ from 10° to 90°, sorted by position:
two_theta	intensity
34.58	19
36.37	100
36.69	79
38.39	89
41.13	17
48.32	15
49.71	21
54.96	17
64.50	23
67.91	16

=====

Computed X-ray diffraction stick pattern of Tb8In2Ni for a wavelength of 1.5418 Å, from a PBE-relaxed structure.
Neutral-atom scattering factors, no anomalous dispersion.

Cell and atoms:
abc: 9.6417 9.6417 6.7254
angles: 101.87 101.87 30.62
Sites, in units of the cell vectors:
1 Tb 0.0154 0.0154 0.2765
2 Tb 0.2092 0.2092 0.8046
3 Tb 0.3569 0.3569 0.5183
4 Tb 0.4092 0.4092 0.0408
5 Tb 0.5908 0.5908 0.9592
6 Tb 0.6431 0.6431 0.4817
7 Tb 0.7908 0.7908 0.1954
8 Tb 0.9846 0.9846 0.7235
9 In 0.1865 0.1865 0.2547
10 In 0.8135 0.8135 0.7453
11 Ni 0.5000 0.5000 0.5000

Top 10 peaks for 2θ from 10° to 90°, sorted by position:
two_theta	intensity
28.18	32
29.97	22
30.21	100
30.89	21
31.91	74
33.16	28
33.70	46
35.24	78
38.74	22
63.84	19